Structure and computed X-ray powder pattern of Np2MnO8 (a DFT-relaxed cell (PBE+U, Alexandria); Cu Ka).
Peak positions follow from Bragg's law for the DFT cell and can differ from measured ones.

Cell and atoms:
```
Np2MnO8
1.0
5.6571 -4.0792 0.0000
5.6571 4.0792 0.0000
-1.3531 0.0000 3.9798
Np Mn O
2 1 8
Cartesian
2.7545 0.0000 0.0085 Np
7.2066 0.0000 3.9714 Np
5.6571 -1.3838 0.0000 Mn
-0.1596 -0.6450 3.4016 O
2.1071 0.0237 1.9923 O
4.4433 0.4608 0.5636 O
5.5178 0.4608 3.4162 O
3.7830 -2.0207 0.1352 O
7.8540 0.0237 1.9875 O
6.1780 -2.0207 3.8446 O
10.1206 -0.6450 0.5782 O
```

Main lines, in order of falling intensity (2θ = 10–90°):
d = 5.356 Å, 16.55 deg, I 100.0
d = 3.980 Å, 22.34 deg, I 90.0
d = 3.245 Å, 27.49 deg, I 83.1
d = 4.079 Å, 21.79 deg, I 69.5
d = 2.796 Å, 32.01 deg, I 59.4
d = 3.841 Å, 23.16 deg, I 45.6
d = 2.849 Å, 31.40 deg, I 38.0
d = 2.239 Å, 40.29 deg, I 26.0